Diffraction record for Rb2La2Pt. The PXRD pattern is theoretical, not measured: it uses a structure optimized by DFT (GGA-PBE) and Cu Kα (λ = 1.5418 Å).
Peak positions follow from Bragg's law for the DFT cell and can differ from measured ones.

Cell and atoms:
```
Rb2La2Pt
1.0
7.6961 0.0000 0.0000
0.0000 7.6961 0.0000
0.0000 0.0000 7.4835
Rb La Pt
4 4 2
Direct
0.1933 0.3067 0.0000 Rb
0.3067 0.8067 0.0000 Rb
0.6933 0.1933 0.0000 Rb
0.8067 0.6933 0.0000 Rb
0.1775 0.6775 0.5000 La
0.3225 0.1775 0.5000 La
0.6775 0.8225 0.5000 La
0.8225 0.3225 0.5000 La
0.0000 0.0000 0.5000 Pt
0.5000 0.5000 0.5000 Pt
```

Main lines, sorted by position (2θ from 10° to 90°):
d = 7.483 Å, 2θ 11.83, I = 88.4, hkl 0 0 1; d = 4.401 Å, 2θ 20.18, I = 32.2, hkl 1 1 1; d = 3.742 Å, 2θ 23.78, I = 88.9, hkl 0 0 2; d = 3.127 Å, 2θ 28.55, I = 100.0, hkl 2 1 1; d = 2.434 Å, 2θ 36.93, I = 36.5, hkl 3 1 0; d = 2.201 Å, 2θ 41.01, I = 32.1, hkl 2 2 2; d = 2.040 Å, 2θ 44.40, I = 43.6, hkl 3 1 2; d = 1.811 Å, 2θ 50.38, I = 38.1, hkl 4 1 1